1.
# Li2YPCO7
Theoretical X-ray powder pattern, Cu Kα. Input: a DFT-relaxed cell (GGA-PBE, Alexandria).
No peak broadening, texture or thermal motion is included.

Main lines, sorted by position (2θ = 15–90°):
d [Å]	I/Imax	h k l
5.470	57.7	0 1 1
4.488	51.9	1 0 -1
4.026	38.9	1 0 1
3.857	44.0	1 1 0
3.617	70.7	1 0 -2
3.334	100.0	0 2 0
3.152	54.2	1 0 2
2.676	22.7	1 2 -1
2.391	26.9	0 0 4
2.127	21.5	2 1 -2
1.943	23.2	0 2 4
1.928	22.9	2 2 0

Structural model:
Cell lengths 4.7722, 6.6675, 9.6549 Å; angles 90.00, 97.82, 90.00 degrees
Space group P2_1/m (No. 11)
One atom of each set of equivalent atoms:
Li 0.2056 0.0015 0.3348
Y 0.2633 0.7500 0.8735
P 0.2460 0.2500 0.8901
C 0.2759 0.7500 0.5772
O 0.0292 0.7500 0.6201
O 0.1184 0.0609 0.8136
O 0.1993 0.2500 0.0479
O 0.3066 0.7500 0.4477
O 0.4266 0.7500 0.1036
O 0.4972 0.7500 0.6759

2.
# Hg2Pd5Au3
Theoretical X-ray powder pattern, Cu Kα. Input: a DFT-relaxed cell (GGA-PBE, Alexandria).
No peak broadening, texture or thermal motion is included.

Main lines, sorted by position (2θ = 15–90°):
d [Å]	I/Imax	h k l
4.140	14.3	0 1 1
2.913	51.6	1 0 2
2.495	21.2	-1 2 1
2.414	14.4	0 2 0
2.306	59.4	0 2 1
2.289	48.3	1 0 3
2.279	65.1	2 -1 0
2.237	100.0	1 1 -2
2.206	28.3	1 1 2
2.075	12.0	0 0 4
1.309	13.9	3 0 -2
1.307	12.1	3 -3 2

Structural model:
Cell lengths 4.5587, 5.3344, 8.3033 Å; angles 91.00, 90.00, 115.13 degrees
Space group P-1 (No. 2)
One atom of each set of equivalent atoms:
Hg 0.0434 0.0873 0.2659
Pd 0.1800 0.3593 0.9515
Pd 0.3221 0.6453 0.2446
Pd 0.5000 0.0000 0.5000
Au 0.2180 0.4356 0.5841
Au 0.5000 0.0000 0.0000

3.
# KFe3Cl12
Theoretical X-ray powder pattern, Cu Kα. Input: a DFT-relaxed cell (GGA-PBE, Alexandria).
No peak broadening, texture or thermal motion is included.

Main lines, sorted by position (2θ = 15–90°):
d [Å]	I/Imax	h k l
5.799	58.7	0 0 6
5.581	71.0	1 1 0
5.029	100.0	1 1 3
4.021	40.7	1 1 6
3.633	20.9	2 1 1
3.233	36.6	2 0 8
3.222	18.0	3 0 0
2.821	25.2	0 2 10
2.794	45.8	2 2 0
2.673	23.0	1 3 1
1.983	14.3	4 0 10
1.852	30.7	4 1 9

Structural model:
Cell lengths 11.1615, 11.1615, 34.7957 Å; angles 90.00, 90.00, 120.00 degrees
Space group R3c (No. 161, hexagonal axes)
One atom of each set of equivalent atoms:
K 0.0000 0.0000 0.0000
Fe 0.0123 0.3610 0.2725
Cl 0.0098 0.4852 0.4425
Cl 0.0171 0.4568 0.3268
Cl 0.0461 0.4764 0.2197
Cl 0.0601 0.5269 0.1018

4.
# Li3ThCu3
Theoretical X-ray powder pattern, Cu Kα. Input: a DFT-relaxed cell (GGA-PBE, Alexandria).
No peak broadening, texture or thermal motion is included.

Main lines, sorted by position (2θ = 15–90°):
d [Å]	I/Imax	h k l
4.458	48.0	1 1 0
3.152	42.9	2 0 0
2.819	24.2	2 1 0
2.574	100.0	2 1 1
2.229	8.4	2 2 0
1.993	12.3	3 1 0
1.685	56.3	3 2 1
1.576	12.3	4 0 0
1.410	15.5	4 2 0
1.344	13.2	3 3 2
1.236	8.8	5 1 0
1.151	16.3	5 2 1

Structural model:
Cell lengths 6.3040, 6.3040, 6.3040 Å; angles 90.00, 90.00, 90.00 degrees
Space group Pm-3n (No. 223)
One atom of each set of equivalent atoms:
Li 0.0000 0.2500 0.5000
Th 0.0000 0.0000 0.0000
Cu 0.0000 0.5000 0.2500

5.
# YCu3O6
Theoretical X-ray powder pattern, Cu Kα. Input: a DFT-relaxed cell (GGA-PBE, Alexandria).
No peak broadening, texture or thermal motion is included.

Main lines, sorted by position (2θ = 15–90°):
d [Å]	I/Imax	h k l
4.216	33.4	2 0 -2
4.057	62.1	2 0 2
3.518	45.7	1 1 0
3.057	63.1	2 0 -3
2.965	56.0	2 0 3
2.872	37.0	1 1 -2
2.846	100.0	3 1 -1
2.808	47.2	3 1 1
2.501	34.9	6 0 -1
2.259	32.4	5 1 1
1.807	48.7	0 2 0
1.464	36.5	7 1 4

Structural model:
Cell lengths 15.3577, 3.6137, 9.8247 Å; angles 90.00, 92.42, 90.00 degrees
Space group Cm (No. 8)
One atom of each set of equivalent atoms:
Y 0.0000 0.0000 0.0000
Y 0.2390 0.5000 0.4853
Cu 0.0771 0.0000 0.6119
Cu 0.1688 0.5000 0.1108
Cu 0.3112 0.0000 0.1668
Cu 0.3206 0.5000 0.8622
Cu 0.4462 0.5000 0.3289
Cu 0.4576 0.0000 0.7165
O 0.0360 0.0000 0.2201
O 0.0504 0.5000 0.5967
O 0.0759 0.5000 0.9840
O 0.1633 0.0000 0.4882
O 0.1990 0.0000 0.0788
O 0.2576 0.5000 0.2473
O 0.2592 0.5000 0.7078
O 0.3558 0.5000 0.0433
O 0.3754 0.0000 0.8502
O 0.3817 0.5000 0.4742
O 0.4180 0.0000 0.2646
O 0.4893 0.5000 0.7446

6.
# La8TeSe6
Theoretical X-ray powder pattern, Cu Kα. Input: a DFT-relaxed cell (GGA-PBE, Alexandria).
No peak broadening, texture or thermal motion is included.

Main lines, sorted by position (2θ = 15–90°):
d [Å]	I/Imax	h k l
3.441	64.4	1 1 1
3.236	56.2	2 0 1
3.177	100.0	3 0 0
2.790	94.7	1 2 1
2.644	41.8	1 3 0
2.334	81.5	4 -2 1
2.205	27.3	0 0 2
1.959	41.9	5 -3 1
1.881	23.7	1 4 1
1.811	21.7	3 0 2
1.693	23.6	4 -3 2
1.301	29.3	8 -3 1

Structural model:
Cell lengths 11.0062, 11.0062, 4.4091 Å; angles 90.00, 90.00, 120.00 degrees
Space group P-3 (No. 147)
One atom of each set of equivalent atoms:
La 0.0359 0.3301 0.2579
La 0.3333 0.6667 0.7471
Te 0.0000 0.0000 0.5000
Se 0.1315 0.6486 0.2465

7.
# PrDyAgAu
Theoretical X-ray powder pattern, Cu Kα. Input: a DFT-relaxed cell (GGA-PBE, Alexandria).
No peak broadening, texture or thermal motion is included.

Main lines, sorted by position (2θ = 15–90°):
d [Å]	I/Imax	h k l
4.262	4.3	1 1 1
2.610	100.0	2 2 0
2.226	2.7	3 1 1
1.846	17.9	4 0 0
1.694	1.3	3 3 1
1.507	36.9	4 2 2
1.421	1.0	5 1 1
1.305	11.4	4 4 0
1.248	1.0	5 3 1
1.167	16.2	6 2 0

Structural model:
Cell lengths 7.3824, 7.3824, 7.3824 Å; angles 90.00, 90.00, 90.00 degrees
Space group F-43m (No. 216)
One atom of each set of equivalent atoms:
Pr 0.0000 0.0000 0.0000
Dy 0.0000 0.0000 0.5000
Ag 0.2500 0.2500 0.7500
Au 0.2500 0.2500 0.2500

8.
# SrNdTlIn
Theoretical X-ray powder pattern, Cu Kα. Input: a DFT-relaxed cell (GGA-PBE, Alexandria).
No peak broadening, texture or thermal motion is included.

Main lines, sorted by position (2θ = 15–90°):
d [Å]	I/Imax	h k l
2.830	100.0	1 0 2
2.797	49.4	1 1 0
2.025	9.0	0 0 4
1.978	18.2	2 0 0
1.640	18.5	1 1 4
1.621	38.5	2 1 2
1.415	11.3	2 0 4
1.398	5.9	2 2 0
1.278	7.3	1 0 6
1.254	9.3	3 0 2
1.251	8.1	3 1 0
1.151	5.9	2 2 4

Structural model:
Cell lengths 3.9553, 3.9553, 8.1013 Å; angles 90.00, 90.00, 90.00 degrees
Space group P4mm (No. 99)
One atom of each set of equivalent atoms:
Sr 0.0000 0.0000 0.0000
Nd 0.0000 0.0000 0.4964
Tl 0.5000 0.5000 0.7342
In 0.5000 0.5000 0.2646

9.
# Pr4HgPd12
Theoretical X-ray powder pattern, Cu Kα. Input: a DFT-relaxed cell (GGA-PBE, Alexandria).
No peak broadening, texture or thermal motion is included.

Main lines, sorted by position (2θ = 15–90°):
d [Å]	I/Imax	h k l
3.087	22.0	2 2 0
2.761	16.9	3 1 0
2.520	100.0	2 2 2
2.333	28.8	3 2 1
2.183	77.0	4 0 0
2.058	13.7	3 3 0
1.861	21.5	3 3 2
1.543	41.5	4 4 0
1.316	24.7	6 2 2
1.287	13.2	6 3 1
1.260	11.1	4 4 4
1.188	12.8	6 3 3

Structural model:
Cell lengths 8.7302, 8.7302, 8.7302 Å; angles 90.00, 90.00, 90.00 degrees
Space group Im-3m (No. 229)
One atom of each set of equivalent atoms:
Pr 0.2500 0.2500 0.2500
Hg 0.0000 0.0000 0.0000
Pd 0.0000 0.0000 0.3069
Pd 0.0000 0.2500 0.5000

10.
# La2UOs2
Theoretical X-ray powder pattern, Cu Kα. Input: a DFT-relaxed cell (GGA-PBE, Alexandria).
No peak broadening, texture or thermal motion is included.

Main lines, sorted by position (2θ = 15–90°):
d [Å]	I/Imax	h k l
5.228	73.0	1 1 0
4.223	26.3	1 1 1
2.909	40.2	2 0 2
2.865	80.1	0 2 1
2.636	55.0	3 1 1
2.543	32.2	2 2 -1
2.518	47.1	3 1 -2
2.445	56.4	1 1 -3
2.429	100.0	2 2 1
2.270	40.5	4 0 -2
1.911	32.6	1 1 -4
1.472	34.8	6 2 -1

Structural model:
Cell lengths 10.0842, 6.1397, 8.0530 Å; angles 90.00, 98.50, 90.00 degrees
Space group C2/c (No. 15)
One atom of each set of equivalent atoms:
La 0.1495 0.1239 0.1506
U 0.0000 0.3716 0.7500
Os 0.1254 0.3747 0.5063

11.
# Ge2BiI8
Theoretical X-ray powder pattern, Cu Kα. Input: a DFT-relaxed cell (GGA-PBE, Alexandria).
No peak broadening, texture or thermal motion is included.

Main lines, sorted by position (2θ = 15–90°):
d [Å]	I/Imax	h k l
5.896	100.0	0 1 1
4.468	17.9	1 1 0
3.561	66.4	0 2 1
3.188	22.4	1 1 2
2.948	31.1	0 2 2
2.825	17.5	1 0 3
2.785	33.3	1 2 1
2.234	40.5	2 2 0
2.106	19.0	2 1 3
1.962	30.3	2 0 4
1.475	14.1	0 4 4
1.412	15.9	0 2 6

Structural model:
Cell lengths 8.9361, 8.9361, 9.1014 Å; angles 90.00, 90.00, 120.00 degrees
Space group P-3m1 (No. 164)
One atom of each set of equivalent atoms:
Ge 0.3333 0.6667 0.2912
Bi 0.0000 0.0000 0.0000
I 0.1602 0.3204 0.2073
I 0.3333 0.6667 0.5760

12.
# Cs2HfTlCl6
Theoretical X-ray powder pattern, Cu Kα. Input: a DFT-relaxed cell (GGA-PBE, Alexandria).
No peak broadening, texture or thermal motion is included.

Main lines, sorted by position (2θ = 15–90°):
d [Å]	I/Imax	h k l
4.231	28.4	1 0 7
4.202	100.0	1 1 0
3.858	18.0	0 1 8
3.256	15.4	1 0 10
2.982	39.7	0 2 7
2.842	13.3	2 0 8
2.428	37.1	3 0 0
2.354	13.5	1 2 8
2.195	12.0	2 1 10
2.101	39.6	2 2 0
1.717	11.4	4 0 7
1.589	23.8	4 1 0

Structural model:
Cell lengths 8.4043, 8.4043, 36.4009 Å; angles 90.00, 90.00, 120.00 degrees
Space group R-3m (No. 166, hexagonal axes)
One atom of each set of equivalent atoms:
Cs 0.0000 0.0000 0.1289
Cs 0.0000 0.0000 0.2757
Hf 0.0000 0.0000 0.0000
Hf 0.0000 0.0000 0.5000
Tl 0.0000 0.0000 0.4103
Cl 0.0147 0.5073 0.1336
Cl 0.0594 0.5297 0.7065